Structure and computed powder X-ray diffraction pattern of Cs5K2Hg2 (a DFT-relaxed cell (GGA-PBE, Alexandria); Cu Kα).

Main lines, in order of rising 2θ (15 to 90 degrees two-theta):
2θ (°)	Rel. int.
20.57	69
22.14	92
23.46	77
24.72	94
25.87	91
26.15	62
27.33	100
29.47	53
29.63	84
39.73	59

Lattice parameters (Å, degrees): 10.8730 10.8730 10.5282 98.32 98.32 32.20
Fractional coordinates of all 9 atoms:
Cs 0.0000 0.0000 0.0000
Cs 0.1907 0.1907 0.6164
Cs 0.3337 0.3337 0.0329
Cs 0.6663 0.6663 0.9671
Cs 0.8093 0.8093 0.3836
K 0.4322 0.4322 0.6588
K 0.5678 0.5678 0.3412
Hg 0.1759 0.1759 0.2294
Hg 0.8241 0.8241 0.7706

---

Structure and computed powder X-ray diffraction pattern of Cs3KHg6 (a DFT-relaxed cell (GGA-PBE, Alexandria); Cu Kα).

Main lines, in order of rising 2θ (15 to 90 degrees two-theta):
2θ (°)	Rel. int.
20.66	30
25.70	70
28.03	100
29.11	55
35.97	20
37.34	35
41.05	21
48.21	19
51.26	21
54.04	26

Lattice parameters (Å, degrees): 9.7764 9.7764 9.7764 99.26 99.26 99.26
Fractional coordinates of all 20 atoms:
Cs 0.1867 0.7500 0.3133
Cs 0.2500 0.6867 0.8133
Cs 0.3133 0.1867 0.7500
Cs 0.6867 0.8133 0.2500
Cs 0.7500 0.3133 0.1867
Cs 0.8133 0.2500 0.6867
K 0.0000 0.0000 0.0000
K 0.5000 0.5000 0.5000
Hg 0.0317 0.0905 0.3840
Hg 0.0905 0.3840 0.0317
Hg 0.1160 0.4095 0.4683
Hg 0.3840 0.0317 0.0905
Hg 0.4095 0.4683 0.1160
Hg 0.4683 0.1160 0.4095
Hg 0.5317 0.8840 0.5905
Hg 0.5905 0.5317 0.8840
Hg 0.6160 0.9683 0.9095
Hg 0.8840 0.5905 0.5317
Hg 0.9095 0.6160 0.9683
Hg 0.9683 0.9095 0.6160

---

Structure and computed powder X-ray diffraction pattern of CsKHg6 (a DFT-relaxed cell (GGA-PBE, Alexandria); Cu Kα).

Main lines, in order of rising 2θ (15 to 90 degrees two-theta):
2θ (°)	Rel. int.
19.16	12
27.22	17
30.51	100
33.51	40
48.11	16
50.21	27
52.25	23
56.16	13
65.26	23
78.65	21

Lattice parameters (Å, degrees): 6.5514 6.5514 6.5514 90.00 90.00 90.00
Fractional coordinates of all 8 atoms:
Cs 0.0000 0.0000 0.0000
K 0.5000 0.5000 0.5000
Hg 0.0000 0.2620 0.5000
Hg 0.0000 0.7380 0.5000
Hg 0.2620 0.5000 0.0000
Hg 0.5000 0.0000 0.2620
Hg 0.5000 0.0000 0.7380
Hg 0.7380 0.5000 0.0000

---

Structure and computed powder X-ray diffraction pattern of CsK3Hg4 (a DFT-relaxed cell (GGA-PBE, Alexandria); Cu Kα).

Main lines, in order of rising 2θ (15 to 90 degrees two-theta):
2θ (°)	Rel. int.
15.20	49
20.02	31
22.68	39
26.20	37
29.32	100
30.19	56
30.68	58
32.05	31
44.95	25
46.07	23

Lattice parameters (Å, degrees): 11.8416 8.3790 6.6961 90.00 90.00 90.00
Fractional coordinates of all 16 atoms:
Cs 0.0000 0.0000 0.0000
Cs 0.5000 0.0000 0.0000
K 0.0000 0.5000 0.0000
K 0.2500 0.0000 0.4777
K 0.2500 0.5000 0.3558
K 0.5000 0.5000 0.0000
K 0.7500 0.0000 0.5223
K 0.7500 0.5000 0.6442
Hg 0.0000 0.3031 0.5000
Hg 0.0000 0.6969 0.5000
Hg 0.2500 0.3152 0.8261
Hg 0.2500 0.6848 0.8261
Hg 0.5000 0.3031 0.5000
Hg 0.5000 0.6969 0.5000
Hg 0.7500 0.3152 0.1739
Hg 0.7500 0.6848 0.1739

---

Structure and computed powder X-ray diffraction pattern of Cs6K8Hg (a DFT-relaxed cell (GGA-PBE, Alexandria); Cu Kα).

Main lines, in order of rising 2θ (15 to 90 degrees two-theta):
2θ (°)	Rel. int.
15.85	27
17.18	34
19.60	20
20.78	27
21.69	100
25.09	93
35.78	69
42.21	28
44.24	18
58.05	16

Lattice parameters (Å, degrees): 11.2310 11.2310 11.2310 72.37 72.37 72.37
Fractional coordinates of all 15 atoms:
Cs 0.1698 0.6217 0.4423
Cs 0.3783 0.5577 0.8302
Cs 0.4423 0.1698 0.6217
Cs 0.5577 0.8302 0.3783
Cs 0.6217 0.4423 0.1698
Cs 0.8302 0.3783 0.5577
K 0.0327 0.3220 0.9062
K 0.0938 0.9673 0.6780
K 0.2371 0.2371 0.2371
K 0.3220 0.9062 0.0327
K 0.6780 0.0938 0.9673
K 0.7629 0.7629 0.7629
K 0.9062 0.0327 0.3220
K 0.9673 0.6780 0.0938
Hg 0.0000 0.0000 0.0000

---

Structure and computed powder X-ray diffraction pattern of Cs4K2Hg (a DFT-relaxed cell (GGA-PBE, Alexandria); Cu Kα).

Main lines, in order of rising 2θ (15 to 90 degrees two-theta):
2θ (°)	Rel. int.
17.83	82
20.32	24
20.50	37
23.49	100
23.87	65
25.93	50
30.49	30
30.89	31
33.44	46
41.73	38

Lattice parameters (Å, degrees): 17.5013 7.4551 9.6837 90.00 114.12 90.00
Fractional coordinates of all 14 atoms:
Cs 0.0269 0.0000 0.2478
Cs 0.1567 0.5000 0.7952
Cs 0.3433 0.0000 0.2048
Cs 0.4731 0.5000 0.7522
Cs 0.5269 0.5000 0.2478
Cs 0.6567 0.0000 0.7952
Cs 0.8433 0.5000 0.2048
Cs 0.9731 0.0000 0.7522
K 0.1999 0.5000 0.3252
K 0.3001 0.0000 0.6748
K 0.6999 0.0000 0.3252
K 0.8001 0.5000 0.6748
Hg 0.0000 0.5000 0.0000
Hg 0.5000 0.0000 0.0000

---

Structure and computed powder X-ray diffraction pattern of Cs2KLiHg (a DFT-relaxed cell (GGA-PBE, Alexandria); Cu Kα).

Main lines, in order of rising 2θ (15 to 90 degrees two-theta):
2θ (°)	Rel. int.
15.74	84
19.71	66
23.70	100
28.58	83
31.01	44
33.77	40
37.46	41
40.04	50
47.06	31
54.68	34

Lattice parameters (Å, degrees): 7.5074 7.5074 5.6294 90.00 90.00 90.00
Fractional coordinates of all 5 atoms:
Cs 0.0000 0.5000 0.0000
Cs 0.5000 0.0000 0.0000
K 0.0000 0.0000 0.5000
Li 0.5000 0.5000 0.5000
Hg 0.5000 0.5000 0.0000

---

Structure and computed powder X-ray diffraction pattern of Cs2K5Na2Hg (a DFT-relaxed cell (GGA-PBE, Alexandria); Cu Kα).

Main lines, in order of rising 2θ (15 to 90 degrees two-theta):
2θ (°)	Rel. int.
15.38	26
17.21	37
22.22	22
22.50	34
24.18	33
24.44	19
25.40	100
32.03	19
32.99	20
37.26	27

Lattice parameters (Å, degrees): 16.2912 16.2912 4.7865 90.00 90.00 90.00
Fractional coordinates of all 20 atoms:
Cs 0.1766 0.3234 0.0000
Cs 0.3234 0.8234 0.0000
Cs 0.6766 0.1766 0.0000
Cs 0.8234 0.6766 0.0000
K 0.0000 0.5000 0.5000
K 0.0501 0.8237 0.5000
K 0.1763 0.0501 0.5000
K 0.3237 0.5501 0.5000
K 0.4499 0.3237 0.5000
K 0.5000 0.0000 0.5000
K 0.5501 0.6763 0.5000
K 0.6763 0.4499 0.5000
K 0.8237 0.9499 0.5000
K 0.9499 0.1763 0.5000
Na 0.1353 0.6353 0.0000
Na 0.3647 0.1353 0.0000
Na 0.6353 0.8647 0.0000
Na 0.8647 0.3647 0.0000
Hg 0.0000 0.0000 0.0000
Hg 0.5000 0.5000 0.0000

---

Structure and computed powder X-ray diffraction pattern of Cs2KNa2Hg2 (a DFT-relaxed cell (GGA-PBE, Alexandria); Cu Kα).

Main lines, in order of rising 2θ (15 to 90 degrees two-theta):
2θ (°)	Rel. int.
17.33	30
17.95	39
18.06	100
25.36	63
26.67	34
27.06	31
27.58	39
29.55	67
31.36	43
31.76	38

Lattice parameters (Å, degrees): 13.4737 5.6349 10.8968 90.00 114.90 90.00
Fractional coordinates of all 14 atoms:
Cs 0.0919 0.0000 0.3606
Cs 0.4081 0.5000 0.6394
Cs 0.5919 0.5000 0.3606
Cs 0.9081 0.0000 0.6394
K 0.0000 0.5000 0.0000
K 0.5000 0.0000 0.0000
Na 0.2448 0.5000 0.9028
Na 0.2552 0.0000 0.0972
Na 0.7448 0.0000 0.9028
Na 0.7552 0.5000 0.0972
Hg 0.2293 0.0000 0.7602
Hg 0.2707 0.5000 0.2398
Hg 0.7293 0.5000 0.7602
Hg 0.7707 0.0000 0.2398

---

Structure and computed powder X-ray diffraction pattern of Cs2K2NaHg4 (a DFT-relaxed cell (GGA-PBE, Alexandria); Cu Kα).

Main lines, in order of rising 2θ (15 to 90 degrees two-theta):
2θ (°)	Rel. int.
16.01	16
26.28	100
29.45	43
32.34	16
33.69	13
42.13	16
44.30	24
50.34	33
54.09	26
70.85	16

Lattice parameters (Å, degrees): 8.2134 8.2134 8.2134 117.03 117.03 95.23
Fractional coordinates of all 9 atoms:
Cs 0.2500 0.7500 0.5000
Cs 0.7500 0.2500 0.5000
K 0.1835 0.1835 0.0000
K 0.8165 0.8165 0.0000
Na 0.5000 0.5000 0.0000
Hg 0.2396 0.2396 0.4791
Hg 0.2396 0.7604 0.0000
Hg 0.7604 0.2396 0.0000
Hg 0.7604 0.7604 0.5209